1.
The following is a simulated PXRD pattern of KScF3. It was derived from a crystal structure in Alexandria, relaxed with GGA-PBE, using Cu Kα (weighted mean of Kα1 and Kα2).
Peak positions follow from Bragg's law for the DFT cell and can differ from measured ones.

a b c (Å): 7.3006 7.3006 6.1124
angles (deg): 90.00 90.00 69.72
Atoms (fractional coordinates):
K  0.1653  0.3347  0.2500
K  0.3347  0.1653  0.7500
K  0.6653  0.8347  0.2500
K  0.8347  0.6653  0.7500
Sc  0.1817  0.8183  0.3800
Sc  0.3183  0.6817  0.8800
Sc  0.6817  0.3183  0.1200
Sc  0.8183  0.1817  0.6200
F  0.0695  0.6974  0.0984
F  0.0720  0.9280  0.7132
F  0.1974  0.5695  0.5984
F  0.3026  0.9305  0.0984
F  0.4280  0.5720  0.2132
F  0.4305  0.8026  0.5984
F  0.5695  0.1974  0.4016
F  0.5720  0.4280  0.7868
F  0.6974  0.0695  0.9016
F  0.8026  0.4305  0.4016
F  0.9280  0.0720  0.2868
F  0.9305  0.3026  0.9016

Largest 12 diffraction maxima, most intense first, 15° ≤ 2θ ≤ 90°:
2θ (°)	intensity
29.88	100
42.26	52
38.63	49
45.96	48
49.81	38
26.02	36
49.56	29
39.88	25
28.77	23
55.76	17
52.59	17
29.22	16

2.
The following is a simulated PXRD pattern of K2ScF5. It was derived from a crystal structure in Alexandria, relaxed with GGA-PBE, using Cu Kα (weighted mean of Kα1 and Kα2).
Peak positions follow from Bragg's law for the DFT cell and can differ from measured ones.

a b c (Å): 6.2051 6.2051 4.0698
angles (deg): 90.00 90.00 90.00
Atoms (fractional coordinates):
K  0.0000  0.5000  0.0000
K  0.5000  0.0000  0.0000
Sc  0.0000  0.0000  0.5000
F  0.0000  0.0000  0.0000
F  0.2287  0.2287  0.5000
F  0.2287  0.7713  0.5000
F  0.7713  0.2287  0.5000
F  0.7713  0.7713  0.5000

Largest 12 diffraction maxima, most intense first, 15° ≤ 2θ ≤ 90°:
2θ (°)	intensity
29.95	100
36.41	86
41.15	80
62.23	38
51.72	34
44.52	32
28.77	23
59.60	21
32.26	21
71.87	21
77.35	17
26.19	15

3.
The following is a simulated PXRD pattern of KScTlF6. It was derived from a crystal structure in Alexandria, relaxed with GGA-PBE, using Cu Kα (weighted mean of Kα1 and Kα2).
Peak positions follow from Bragg's law for the DFT cell and can differ from measured ones.

a b c (Å): 6.0930 6.0930 5.3090
angles (deg): 90.00 90.00 120.00
Atoms (fractional coordinates):
K  0.0000  0.0000  0.0000
Sc  0.6667  0.3333  0.5000
Tl  0.3333  0.6667  0.5000
F  0.3933  0.0460  0.7127
F  0.3933  0.3473  0.2873
F  0.6527  0.0460  0.2873
F  0.6527  0.6067  0.7127
F  0.9540  0.3473  0.7127
F  0.9540  0.6067  0.2873

Largest 12 diffraction maxima, most intense first, 15° ≤ 2θ ≤ 90°:
2θ (°)	intensity
23.77	100
16.80	54
33.94	53
16.70	46
45.31	44
29.32	36
48.78	31
38.09	29
37.94	18
51.99	17
63.49	13
45.48	12

4.
The following is a simulated PXRD pattern of KSe2F8. It was derived from a crystal structure in Alexandria, relaxed with GGA-PBE, using Cu Kα (weighted mean of Kα1 and Kα2).
Peak positions follow from Bragg's law for the DFT cell and can differ from measured ones.

a b c (Å): 4.5469 6.7231 6.8041
angles (deg): 70.89 85.21 86.03
Atoms (fractional coordinates):
K  0.0000  0.0000  0.0000
Se  0.2555  0.3820  0.3815
Se  0.7445  0.6180  0.6185
F  0.2536  0.1361  0.6150
F  0.2540  0.2208  0.2211
F  0.2634  0.6190  0.1384
F  0.2794  0.6078  0.6090
F  0.7206  0.3922  0.3910
F  0.7366  0.3810  0.8616
F  0.7460  0.7792  0.7789
F  0.7464  0.8639  0.3850

Largest 12 diffraction maxima, most intense first, 15° ≤ 2θ ≤ 90°:
2θ (°)	intensity
24.29	100
22.67	94
26.73	63
24.66	60
24.79	58
46.30	39
39.83	39
42.96	37
32.65	37
42.68	32
27.02	28
54.95	27

5.
The following is a simulated PXRD pattern of K4SeF2. It was derived from a crystal structure in Alexandria, relaxed with GGA-PBE, using Cu Kα (weighted mean of Kα1 and Kα2).
Peak positions follow from Bragg's law for the DFT cell and can differ from measured ones.

a b c (Å): 9.3193 7.9979 7.9804
angles (deg): 71.36 54.41 54.23
Atoms (fractional coordinates):
K  0.1359  0.2891  0.2910
K  0.2160  0.7090  0.7109
K  0.2891  0.1359  0.7840
K  0.2910  0.7840  0.1359
K  0.7090  0.2160  0.8641
K  0.7109  0.8641  0.2160
K  0.7840  0.2910  0.2891
K  0.8641  0.7109  0.7090
Se  0.3750  0.3750  0.3750
Se  0.6250  0.6250  0.6250
F  0.0000  0.0000  0.0000
F  0.0000  0.0000  0.5000
F  0.0000  0.5000  0.0000
F  0.5000  0.0000  0.0000

Largest 12 diffraction maxima, most intense first, 15° ≤ 2θ ≤ 90°:
2θ (°)	intensity
31.22	100
19.05	88
30.43	77
36.09	53
36.40	52
36.20	52
38.65	34
27.50	31
48.89	30
58.21	17
50.94	17
45.88	16

6.
The following is a simulated PXRD pattern of K4Se2F. It was derived from a crystal structure in Alexandria, relaxed with GGA-PBE, using Cu Kα (weighted mean of Kα1 and Kα2).
Peak positions follow from Bragg's law for the DFT cell and can differ from measured ones.

a b c (Å): 5.2351 5.2351 16.2064
angles (deg): 90.00 90.00 90.00
Atoms (fractional coordinates):
K  0.0000  0.0000  0.1688
K  0.0000  0.0000  0.8312
K  0.0000  0.5000  0.0000
K  0.0000  0.5000  0.5000
K  0.5000  0.0000  0.0000
K  0.5000  0.0000  0.5000
K  0.5000  0.5000  0.3312
K  0.5000  0.5000  0.6688
Se  0.0000  0.0000  0.3716
Se  0.0000  0.0000  0.6284
Se  0.5000  0.5000  0.1284
Se  0.5000  0.5000  0.8716
F  0.0000  0.0000  0.0000
F  0.5000  0.5000  0.5000

Largest 12 diffraction maxima, most intense first, 15° ≤ 2θ ≤ 90°:
2θ (°)	intensity
32.77	100
34.26	78
24.04	55
32.49	42
26.47	34
60.40	32
47.93	26
49.23	26
48.43	18
17.80	16
33.17	15
57.53	12

7.
The following is a simulated PXRD pattern of K2TlSiF6. It was derived from a crystal structure in Alexandria, relaxed with GGA-PBE, using Cu Kα (weighted mean of Kα1 and Kα2).
Peak positions follow from Bragg's law for the DFT cell and can differ from measured ones.

a b c (Å): 10.8493 10.8493 10.8493
angles (deg): 35.94 35.94 35.94
Atoms (fractional coordinates):
K  0.1404  0.1404  0.1404
K  0.2615  0.2615  0.2615
K  0.7385  0.7385  0.7385
K  0.8596  0.8596  0.8596
Tl  0.3971  0.3971  0.3971
Tl  0.6029  0.6029  0.6029
Si  0.0000  0.0000  0.0000
Si  0.5000  0.5000  0.5000
F  0.1386  0.6226  0.6226
F  0.1528  0.1528  0.7936
F  0.1528  0.7936  0.1528
F  0.2064  0.8472  0.8472
F  0.3774  0.3774  0.8614
F  0.3774  0.8614  0.3774
F  0.6226  0.1386  0.6226
F  0.6226  0.6226  0.1386
F  0.7936  0.1528  0.1528
F  0.8472  0.2064  0.8472
F  0.8472  0.8472  0.2064
F  0.8614  0.3774  0.3774

Largest 12 diffraction maxima, most intense first, 15° ≤ 2θ ≤ 90°:
2θ (°)	intensity
26.63	100
21.17	89
15.56	62
37.83	45
28.07	36
32.04	28
43.91	26
19.25	26
33.07	23
41.30	23
52.79	23
54.85	22

8.
The following is a simulated PXRD pattern of K2SmZn3F12. It was derived from a crystal structure in Alexandria, relaxed with GGA-PBE, using Cu Kα (weighted mean of Kα1 and Kα2).
Peak positions follow from Bragg's law for the DFT cell and can differ from measured ones.

a b c (Å): 7.1391 7.1391 7.1391
angles (deg): 63.95 63.95 63.95
Atoms (fractional coordinates):
K  0.1191  0.1191  0.1191
K  0.8809  0.8809  0.8809
Sm  0.5000  0.5000  0.5000
Zn  0.0000  0.5000  0.5000
Zn  0.5000  0.0000  0.5000
Zn  0.5000  0.5000  0.0000
F  0.1147  0.6220  0.6220
F  0.2235  0.2235  0.6026
F  0.2235  0.6026  0.2235
F  0.3780  0.3780  0.8853
F  0.3780  0.8853  0.3780
F  0.3974  0.7765  0.7765
F  0.6026  0.2235  0.2235
F  0.6220  0.1147  0.6220
F  0.6220  0.6220  0.1147
F  0.7765  0.3974  0.7765
F  0.7765  0.7765  0.3974
F  0.8853  0.3780  0.3780

Largest 12 diffraction maxima, most intense first, 15° ≤ 2θ ≤ 90°:
2θ (°)	intensity
28.41	100
29.24	65
48.14	57
44.50	37
29.68	36
31.68	32
51.38	29
27.75	23
58.78	23
57.31	19
39.69	18
45.37	17

9.
The following is a simulated PXRD pattern of K6SnF12. It was derived from a crystal structure in Alexandria, relaxed with GGA-PBE, using Cu Kα (weighted mean of Kα1 and Kα2).
Peak positions follow from Bragg's law for the DFT cell and can differ from measured ones.

a b c (Å): 7.3772 7.3772 7.3772
angles (deg): 98.94 98.94 98.94
Atoms (fractional coordinates):
K  0.1090  0.6576  0.7789
K  0.2211  0.8910  0.3424
K  0.3424  0.2211  0.8910
K  0.6576  0.7789  0.1090
K  0.7789  0.1090  0.6576
K  0.8910  0.3424  0.2211
Sn  0.5000  0.5000  0.5000
F  0.0345  0.3535  0.9194
F  0.0806  0.9655  0.6465
F  0.2276  0.5149  0.4437
F  0.3535  0.9194  0.0345
F  0.4437  0.2276  0.5149
F  0.4851  0.5563  0.7724
F  0.5149  0.4437  0.2276
F  0.5563  0.7724  0.4851
F  0.6465  0.0806  0.9655
F  0.7724  0.4851  0.5563
F  0.9194  0.0345  0.3535
F  0.9655  0.6465  0.0806

Largest 12 diffraction maxima, most intense first, 15° ≤ 2θ ≤ 90°:
2θ (°)	intensity
25.68	100
42.03	47
42.66	33
25.19	31
50.19	28
19.07	26
20.11	21
29.60	19
37.45	14
41.09	11
15.80	11
49.63	10

10.
The following is a simulated PXRD pattern of K2SnF2. It was derived from a crystal structure in Alexandria, relaxed with GGA-PBE, using Cu Kα (weighted mean of Kα1 and Kα2).
Peak positions follow from Bragg's law for the DFT cell and can differ from measured ones.

a b c (Å): 8.7659 8.7659 3.1372
angles (deg): 90.00 90.00 90.00
Atoms (fractional coordinates):
K  0.1234  0.3766  0.0000
K  0.3766  0.8766  0.0000
K  0.6234  0.1234  0.0000
K  0.8766  0.6234  0.0000
Sn  0.0000  0.0000  0.0000
Sn  0.5000  0.5000  0.0000
F  0.1239  0.6239  0.5000
F  0.3761  0.1239  0.5000
F  0.6239  0.8761  0.5000
F  0.8761  0.3761  0.5000

Largest 12 diffraction maxima, most intense first, 15° ≤ 2θ ≤ 90°:
2θ (°)	intensity
32.29	100
20.26	73
43.57	54
35.18	36
31.97	31
36.69	30
28.81	30
28.45	28
53.29	24
40.93	24
68.76	21
61.51	20

11.
The following is a simulated PXRD pattern of KSnF3. It was derived from a crystal structure in Alexandria, relaxed with GGA-PBE, using Cu Kα (weighted mean of Kα1 and Kα2).
Peak positions follow from Bragg's law for the DFT cell and can differ from measured ones.

a b c (Å): 7.0905 8.6973 6.6541
angles (deg): 90.00 90.00 90.00
Atoms (fractional coordinates):
K  0.0000  0.0000  0.0000
K  0.0000  0.5000  0.0000
K  0.5000  0.0000  0.5000
K  0.5000  0.5000  0.5000
Sn  0.0389  0.2500  0.4850
Sn  0.4611  0.7500  0.9850
Sn  0.5389  0.2500  0.0150
Sn  0.9611  0.7500  0.5150
F  0.0830  0.7500  0.2297
F  0.1525  0.5829  0.6250
F  0.1525  0.9171  0.6250
F  0.3475  0.0829  0.1250
F  0.3475  0.4171  0.1250
F  0.4170  0.2500  0.7297
F  0.5830  0.7500  0.2703
F  0.6525  0.5829  0.8750
F  0.6525  0.9171  0.8750
F  0.8475  0.0829  0.3750
F  0.8475  0.4171  0.3750
F  0.9170  0.2500  0.7703

Largest 12 diffraction maxima, most intense first, 15° ≤ 2θ ≤ 90°:
2θ (°)	intensity
27.54	100
18.28	48
25.12	30
45.76	29
47.79	28
26.80	24
37.06	19
20.42	14
56.87	13
49.16	12
61.12	10
32.59	10

12.
The following is a simulated PXRD pattern of KZrSnF7. It was derived from a crystal structure in Alexandria, relaxed with GGA-PBE, using Cu Kα (weighted mean of Kα1 and Kα2).
Peak positions follow from Bragg's law for the DFT cell and can differ from measured ones.

a b c (Å): 8.5366 6.0472 12.6651
angles (deg): 90.00 90.00 90.00
Atoms (fractional coordinates):
K  0.2500  0.2134  0.2500
K  0.2500  0.7866  0.7500
K  0.7500  0.2134  0.2500
K  0.7500  0.7866  0.7500
Zr  0.0000  0.2511  0.5852
Zr  0.0000  0.7489  0.4148
Zr  0.5000  0.2511  0.9148
Zr  0.5000  0.7489  0.0852
Sn  0.0000  0.2354  0.9064
Sn  0.0000  0.7646  0.0936
Sn  0.5000  0.2354  0.5936
Sn  0.5000  0.7646  0.4064
F  0.0000  0.0943  0.7401
F  0.0000  0.1227  0.0839
F  0.0000  0.1264  0.4284
F  0.0000  0.4999  0.3055
F  0.0000  0.5001  0.6945
F  0.0000  0.8736  0.5716
F  0.0000  0.8773  0.9161
F  0.0000  0.9057  0.2599
F  0.1423  0.5000  0.5000
F  0.2330  0.1594  0.6096
F  0.2330  0.8406  0.3904
F  0.2670  0.1594  0.8904
F  0.2670  0.8406  0.1096
F  0.3577  0.5000  0.0000
F  0.5000  0.0943  0.7599
F  0.5000  0.1227  0.4161
F  0.5000  0.1264  0.0716
F  0.5000  0.4999  0.1945
F  0.5000  0.5001  0.8055
F  0.5000  0.8736  0.9284
F  0.5000  0.8773  0.5839
F  0.5000  0.9057  0.2401
F  0.6423  0.5000  0.0000
F  0.7330  0.1594  0.8904
F  0.7330  0.8406  0.1096
F  0.7670  0.1594  0.6096
F  0.7670  0.8406  0.3904
F  0.8577  0.5000  0.5000

Largest 12 diffraction maxima, most intense first, 15° ≤ 2θ ≤ 90°:
2θ (°)	intensity
25.74	100
20.81	63
26.51	54
50.19	52
16.24	44
42.37	33
29.54	28
39.19	25
54.86	21
25.16	21
57.41	20
33.33	19